This entry pairs a crystal structure of Sr3Fe2MoO9 with its theoretical PXRD pattern. Radiation: Cu Ka. Structure: DFT lattice parameters and positions (PBE+U).

Top 10 peaks for 2θ = 15–90°, low angle first:
2θ 31.7, rel. 100.0; 2θ 39.1, rel. 6.2; 2θ 45.4, rel. 36.7; 2θ 56.3, rel. 8.4; 2θ 56.5, rel. 28.7; 2θ 66.0, rel. 9.8; 2θ 66.3, rel. 10.8; 2θ 75.1, rel. 7.3; 2θ 75.3, rel. 8.3; 2θ 84.0, rel. 5.3

Structure:
```
data_Sr3Fe2MoO9
_chemical_formula_sum 'Sr3 Fe2 Mo1 O9'
_cell_length_a 5.6423
_cell_length_b 5.6423
_cell_length_c 6.9396
_cell_angle_alpha 90.00
_cell_angle_beta 90.00
_cell_angle_gamma 120.00
_symmetry_space_group_name_H-M 'P -3 m 1'
_symmetry_Int_Tables_number 164
_symmetry_space_group_name_Hall '-P 3 2"'
loop_
_atom_site_label
_atom_site_type_symbol
_atom_site_fract_x
_atom_site_fract_y
_atom_site_fract_z
Sr1 Sr 0.0000 0.0000 0.0000
Sr2 Sr 0.3333 0.6667 0.6883
Fe1 Fe 0.3333 0.6667 0.1570
Mo1 Mo 0.0000 0.0000 0.5000
O1 O 0.0000 0.5000 0.0000
O2 O 0.1627 0.3254 0.3392
```